[1]
Computed XRD peak list
Compound: Pa3AlGe4
Radiation: CuKα
Structure: the PBE geometry in Alexandria
Intensities are scaled so that the largest is 100.

Main lines, by angle (2θ = 10–90°):
2θ (°)	I (rel.)
26.17	33
27.38	37
32.12	100
42.01	63
42.58	36
53.83	31
61.36	12
70.56	21
73.84	22
77.16	13

Structural model:
```
8
Lattice="2.151 1.242 11.197 -2.151 1.242 11.197 0.000 -2.483 11.197" Properties=species:S:1:pos:R:3 pbc="T T T"
Pa 0.000 0.000 0.000
Pa 0.000 0.000 8.004
Pa 0.000 0.000 25.588
Al 0.000 0.000 16.796
Ge 0.000 0.000 4.699
Ge 0.000 0.000 12.786
Ge 0.000 0.000 20.806
Ge 0.000 0.000 28.893
```

---

[2]
Computed XRD peak list
Compound: LiTmAgCl5
Radiation: CuKα
Structure: the PBE geometry in Alexandria
Intensities are scaled so that the largest is 100.

Main lines, by angle (2θ = 10–90°):
2θ (°)	I (rel.)
14.09	88
14.56	23
20.31	100
25.61	22
28.53	39
29.34	36
34.89	34
36.95	28
38.06	19
50.97	20

Structural model:
```
16
Lattice="3.759 -6.285 0.000 3.759 6.285 0.000 -3.676 0.000 8.984" Properties=species:S:1:pos:R:3 pbc="T T T"
Li 1.002 3.559 6.738
Li 2.840 -3.559 2.246
Tm 3.759 0.000 0.000
Tm 1.921 0.000 4.492
Ag 2.840 5.381 2.246
Ag 1.002 -5.381 6.738
Cl -0.381 1.144 4.012
Cl -0.706 2.150 7.720
Cl -2.218 -1.144 8.504
Cl 2.840 1.022 2.246
Cl 1.132 -2.150 3.228
Cl 2.710 2.150 5.756
Cl 1.002 -1.022 6.738
Cl 6.060 1.144 0.480
Cl 4.548 -2.150 1.264
Cl 4.223 -1.144 4.972
```

---

[3]
Computed XRD peak list
Compound: TbPm6Nd3Er2
Radiation: CuKα
Structure: the PBE geometry in Alexandria
Intensities are scaled so that the largest is 100.

Main lines, by angle (2θ = 10–90°):
2θ (°)	I (rel.)
30.16	100
30.26	33
34.99	67
50.25	24
50.39	24
59.77	43
59.92	14
62.70	12
81.75	12
84.37	11

Structural model:
```
12
Lattice="3.144 -5.447 0.000 3.144 5.447 0.000 -2.097 0.000 11.813" Properties=species:S:1:pos:R:3 pbc="T T T"
Tb 0.000 0.000 0.000
Pm 1.052 1.818 2.901
Pm -0.001 0.000 8.913
Pm 1.052 -1.818 2.901
Pm 3.140 1.818 8.913
Pm 4.193 0.000 2.900
Pm 3.140 -1.818 8.913
Nd 2.096 3.630 5.907
Nd 2.096 0.000 5.907
Nd 2.096 -3.630 5.907
Er 3.144 1.816 0.000
Er 3.144 -1.816 0.000
```

---

Repeat the third record exactly.
Computed XRD peak list
Compound: TbPm6Nd3Er2
Radiation: CuKα
Structure: the PBE geometry in Alexandria
Intensities are scaled so that the largest is 100.

Main lines, by angle (2θ = 10–90°):
2θ (°)	I (rel.)
30.16	100
30.26	33
34.99	67
50.25	24
50.39	24
59.77	43
59.92	14
62.70	12
81.75	12
84.37	11

Structural model:
```
12
Lattice="3.144 -5.447 0.000 3.144 5.447 0.000 -2.097 0.000 11.813" Properties=species:S:1:pos:R:3 pbc="T T T"
Tb 0.000 0.000 0.000
Pm 1.052 1.818 2.901
Pm -0.001 0.000 8.913
Pm 1.052 -1.818 2.901
Pm 3.140 1.818 8.913
Pm 4.193 0.000 2.900
Pm 3.140 -1.818 8.913
Nd 2.096 3.630 5.907
Nd 2.096 0.000 5.907
Nd 2.096 -3.630 5.907
Er 3.144 1.816 0.000
Er 3.144 -1.816 0.000
```